Theoretical powder X-ray diffraction pattern
Compound: PmSi3Ni3
Radiation: a wavelength of 1.5418 Å
Structure: a DFT-relaxed cell (PBE, Alexandria)
Peak positions follow from Bragg's law for the DFT cell and can differ from measured ones.

Main lines, in order of falling intensity (2θ from 10° to 90°):
2theta  I (rel.)
31.62  100
39.46  54
24.18  38
44.56  37
45.27  31
40.41  25
27.66  24
35.41  19
58.17  18
50.64  15

Atomic structure:
abc: 7.6050 7.6050 7.6050
angles: 48.48 48.48 48.48
Fractional coordinates of all 14 atoms:
1 Pm 0.1630 0.1630 0.1630
2 Pm 0.8370 0.8370 0.8370
3 Si 0.0422 0.6062 0.2183
4 Si 0.2183 0.0422 0.6062
5 Si 0.3937 0.7817 0.9578
6 Si 0.6063 0.2183 0.0422
7 Si 0.7817 0.9578 0.3937
8 Si 0.9578 0.3937 0.7817
9 Ni 0.1722 0.6450 0.3948
10 Ni 0.3550 0.6052 0.8278
11 Ni 0.3948 0.1722 0.6450
12 Ni 0.6052 0.8278 0.3550
13 Ni 0.6450 0.3948 0.1722
14 Ni 0.8278 0.3550 0.6052

---

Theoretical powder X-ray diffraction pattern
Compound: Pm2Si2Ni15
Radiation: a wavelength of 1.5418 Å
Structure: a DFT-relaxed cell (PBE, Alexandria)
Peak positions follow from Bragg's law for the DFT cell and can differ from measured ones.

Main lines, in order of falling intensity (2θ from 10° to 90°):
2theta  I (rel.)
43.68  100
43.47  50
44.29  35
30.64  34
37.41  29
49.11  25
38.53  24
63.80  18
79.80  15
71.83  15

Atomic structure:
abc: 6.3121 6.3121 6.3121
angles: 82.53 82.53 82.53
Fractional coordinates of all 19 atoms:
1 Pm 0.1523 0.1523 0.1523
2 Pm 0.8477 0.8477 0.8477
3 Si 0.3994 0.3994 0.3994
4 Si 0.6006 0.6006 0.6006
5 Ni 0.0000 0.5000 0.5000
6 Ni 0.1596 0.1596 0.6476
7 Ni 0.1596 0.6476 0.1596
8 Ni 0.2075 0.5000 0.7925
9 Ni 0.2075 0.7925 0.5000
10 Ni 0.3524 0.8404 0.8404
11 Ni 0.5000 0.0000 0.5000
12 Ni 0.5000 0.2075 0.7925
13 Ni 0.5000 0.5000 0.0000
14 Ni 0.5000 0.7925 0.2075
15 Ni 0.6476 0.1596 0.1596
16 Ni 0.7925 0.2075 0.5000
17 Ni 0.7925 0.5000 0.2075
18 Ni 0.8404 0.3524 0.8404
19 Ni 0.8404 0.8404 0.3524

---

Theoretical powder X-ray diffraction pattern
Compound: Pm3Si5Ni6
Radiation: a wavelength of 1.5418 Å
Structure: a DFT-relaxed cell (PBE, Alexandria)
Peak positions follow from Bragg's law for the DFT cell and can differ from measured ones.

Main lines, in order of falling intensity (2θ from 10° to 90°):
2theta  I (rel.)
37.27  100
35.91  90
24.43  62
46.12  27
66.83  23
36.98  19
59.82  18
46.27  18
32.21  18
52.94  18

Atomic structure:
abc: 3.9360 11.7737 9.7225
angles: 90.00 90.00 90.00
Fractional coordinates of all 28 atoms:
1 Pm 0.2500 0.0921 0.2495
2 Pm 0.2500 0.4079 0.2495
3 Pm 0.2500 0.7500 0.2467
4 Pm 0.7500 0.2500 0.7533
5 Pm 0.7500 0.5921 0.7505
6 Pm 0.7500 0.9079 0.7505
7 Si 0.2500 0.0769 0.8610
8 Si 0.2500 0.4231 0.8610
9 Si 0.2500 0.6350 0.5132
10 Si 0.2500 0.7500 0.8979
11 Si 0.2500 0.8650 0.5132
12 Si 0.7500 0.1350 0.4868
13 Si 0.7500 0.2500 0.1021
14 Si 0.7500 0.3650 0.4868
15 Si 0.7500 0.5769 0.1390
16 Si 0.7500 0.9231 0.1390
17 Ni 0.2500 0.0512 0.5904
18 Ni 0.2500 0.2500 0.5041
19 Ni 0.2500 0.2500 0.9831
20 Ni 0.2500 0.4488 0.5904
21 Ni 0.2500 0.5785 0.0094
22 Ni 0.2500 0.9215 0.0094
23 Ni 0.7500 0.0785 0.9906
24 Ni 0.7500 0.4215 0.9906
25 Ni 0.7500 0.5512 0.4096
26 Ni 0.7500 0.7500 0.0169
27 Ni 0.7500 0.7500 0.4959
28 Ni 0.7500 0.9488 0.4096

---

Theoretical powder X-ray diffraction pattern
Compound: Pm2Si4TcNi3
Radiation: a wavelength of 1.5418 Å
Structure: a DFT-relaxed cell (PBE, Alexandria)
Peak positions follow from Bragg's law for the DFT cell and can differ from measured ones.

Main lines, in order of falling intensity (2θ from 10° to 90°):
2theta  I (rel.)
36.35  100
35.38  73
44.70  52
58.26  34
23.76  30
52.01  23
76.87  22
31.19  19
70.96  18
32.55  17

Atomic structure:
abc: 4.0548 4.0548 9.7556
angles: 90.00 90.00 90.00
Fractional coordinates of all 10 atoms:
1 Pm 0.0000 0.5000 0.2401
2 Pm 0.5000 0.0000 0.7599
3 Si 0.0000 0.0000 0.0000
4 Si 0.0000 0.5000 0.6329
5 Si 0.5000 0.0000 0.3671
6 Si 0.5000 0.5000 0.0000
7 Tc 0.0000 0.0000 0.5000
8 Ni 0.0000 0.5000 0.8790
9 Ni 0.5000 0.0000 0.1210
10 Ni 0.5000 0.5000 0.5000